Record 1
Calculated X-ray diffraction stick pattern
Compound: GdHSe
Radiation: Cu Kα, 1.54184 Å
Structure: a crystal structure in the Materials Project, relaxed with PBE
Lines closer than 0.1° are merged.

Peak list (10 most intense, 2θ from 15° to 90°, in order of rising 2θ)
2θ (°), I/Imax
22.46, 7
26.36, 43
34.90, 100
45.84, 10
46.52, 29
53.65, 12
59.45, 21
67.37, 19
77.68, 10
78.67, 19

abc: 3.9045 3.9045 3.9587
angles: 90.00 90.00 120.00
Fractional positions:
Gd (0.0000, 0.0000, 0.0000)
H (0.3333, 0.6667, 0.0000)
Se (0.6667, 0.3333, 0.5000)

---

Record 2
Calculated X-ray diffraction stick pattern
Compound: Mg3Cl2O6
Radiation: Cu Kα, 1.54184 Å
Structure: a crystal structure in the Materials Project, relaxed with PBE
Lines closer than 0.1° are merged.

Peak list (10 most intense, 2θ from 15° to 90°, in order of rising 2θ)
2θ (°), I/Imax
20.59, 100
27.89, 30
28.99, 34
30.07, 23
31.58, 26
34.47, 28
36.06, 68
47.60, 37
53.70, 21
61.14, 23

abc: 7.9563 7.9563 5.9851
angles: 99.64 99.64 27.79
Fractional positions:
Mg (0.0000, 0.0000, 0.0000)
Mg (0.3760, 0.3760, 0.2602)
Mg (0.6240, 0.6240, 0.7398)
Cl (0.2230, 0.2230, 0.2817)
Cl (0.7770, 0.7770, 0.7183)
O (0.0848, 0.0848, 0.6119)
O (0.1151, 0.1151, 0.8613)
O (0.4888, 0.4888, 0.8709)
O (0.5112, 0.5112, 0.1291)
O (0.8849, 0.8849, 0.1387)
O (0.9152, 0.9152, 0.3881)

---

Record 3
Calculated X-ray diffraction stick pattern
Compound: Cs2RbGaI6
Radiation: Cu Kα, 1.54184 Å
Structure: a crystal structure in the Materials Project, relaxed with PBE
Lines closer than 0.1° are merged.

Peak list (10 most intense, 2θ from 15° to 90°, in order of rising 2θ)
2θ (°), I/Imax
19.86, 15
24.39, 100
28.24, 99
36.95, 18
40.36, 67
47.72, 36
49.98, 21
66.11, 23
73.38, 15
78.22, 14

abc: 8.9391 8.9391 8.9391
angles: 60.00 60.00 60.00
Fractional positions:
Cs (0.2500, 0.2500, 0.2500)
Cs (0.7500, 0.7500, 0.7500)
Rb (0.0000, 0.0000, 0.0000)
Ga (0.5000, 0.5000, 0.5000)
I (0.2771, 0.2771, 0.7229)
I (0.2771, 0.7229, 0.2771)
I (0.2771, 0.7229, 0.7229)
I (0.7229, 0.2771, 0.2771)
I (0.7229, 0.2771, 0.7229)
I (0.7229, 0.7229, 0.2771)

---

Record 4
Calculated X-ray diffraction stick pattern
Compound: Cs2GaAgBr6
Radiation: Cu Kα, 1.54184 Å
Structure: a crystal structure in the Materials Project, relaxed with PBE
Lines closer than 0.1° are merged.

Peak list (10 most intense, 2θ from 15° to 90°, in order of rising 2θ)
2θ (°), I/Imax
22.89, 46
28.13, 72
32.60, 100
40.21, 20
46.77, 70
55.47, 29
58.17, 24
75.42, 11
77.74, 29
86.86, 22

abc: 7.7695 7.7695 7.7695
angles: 60.00 60.00 60.00
Fractional positions:
Cs (0.2500, 0.2500, 0.2500)
Cs (0.7500, 0.7500, 0.7500)
Ga (0.0000, 0.0000, 0.0000)
Ag (0.5000, 0.5000, 0.5000)
Br (0.2374, 0.2374, 0.7626)
Br (0.2374, 0.7626, 0.2374)
Br (0.2374, 0.7626, 0.7626)
Br (0.7626, 0.2374, 0.2374)
Br (0.7626, 0.2374, 0.7626)
Br (0.7626, 0.7626, 0.2374)

---

Record 5
Calculated X-ray diffraction stick pattern
Compound: LiEr2Al
Radiation: Cu Kα, 1.54184 Å
Structure: a crystal structure in the Materials Project, relaxed with PBE
Lines closer than 0.1° are merged.

Peak list (10 most intense, 2θ from 15° to 90°, in order of rising 2θ)
2θ (°), I/Imax
21.32, 1
24.67, 84
35.16, 100
43.43, 25
50.58, 18
57.06, 34
63.09, 37
74.33, 11
79.70, 16
84.98, 16

abc: 5.1042 5.1042 5.1042
angles: 60.00 60.00 60.00
Fractional positions:
Li (0.0000, 0.0000, 0.0000)
Er (0.2500, 0.2500, 0.2500)
Er (0.7500, 0.7500, 0.7500)
Al (0.5000, 0.5000, 0.5000)

---

Record 6
Calculated X-ray diffraction stick pattern
Compound: MnHgS2
Radiation: Cu Kα, 1.54184 Å
Structure: a crystal structure in the Materials Project, relaxed with PBE
Lines closer than 0.1° are merged.

Peak list (10 most intense, 2θ from 15° to 90°, in order of rising 2θ)
2θ (°), I/Imax
25.36, 31
26.53, 100
26.80, 31
30.81, 35
33.69, 18
43.96, 37
44.30, 35
52.08, 15
52.24, 29
52.54, 15

abc: 7.0653 7.0653 7.0653
angles: 33.90 33.90 33.90
Fractional positions:
Mn (0.0000, 0.0000, 0.0000)
Hg (0.4962, 0.4962, 0.4962)
S (0.3672, 0.3672, 0.3672)
S (0.8802, 0.8802, 0.8802)

---

Record 7
Calculated X-ray diffraction stick pattern
Compound: PtN2Cl6
Radiation: Cu Kα, 1.54184 Å
Structure: a crystal structure in the Materials Project, relaxed with PBE
Lines closer than 0.1° are merged.

Peak list (10 most intense, 2θ from 15° to 90°, in order of rising 2θ)
2θ (°), I/Imax
15.95, 100
18.44, 73
26.19, 24
30.81, 52
37.38, 40
40.87, 20
41.98, 35
49.19, 23
53.89, 25
56.58, 22

abc: 6.8051 6.8051 6.8051
angles: 60.00 60.00 60.00
Fractional positions:
Pt (0.0000, 0.0000, 0.0000)
N (0.2500, 0.2500, 0.2500)
N (0.7500, 0.7500, 0.7500)
Cl (0.2406, 0.2406, 0.7594)
Cl (0.2406, 0.7594, 0.2406)
Cl (0.2406, 0.7594, 0.7594)
Cl (0.7594, 0.2406, 0.2406)
Cl (0.7594, 0.2406, 0.7594)
Cl (0.7594, 0.7594, 0.2406)

---

Record 8
Calculated X-ray diffraction stick pattern
Compound: HfTiN2
Radiation: Cu Kα, 1.54184 Å
Structure: a crystal structure in the Materials Project, relaxed with PBE
Lines closer than 0.1° are merged.

Peak list (10 most intense, 2θ from 15° to 90°, in order of rising 2θ)
2θ (°), I/Imax
17.52, 70
33.64, 46
35.20, 95
35.46, 31
40.95, 100
44.85, 22
59.12, 32
59.47, 32
62.17, 17
70.87, 26

abc: 5.3749 5.3749 5.3749
angles: 33.80 33.80 33.80
Fractional positions:
Hf (0.0000, 0.0000, 0.0000)
Ti (0.5000, 0.5000, 0.5000)
N (0.2476, 0.2476, 0.2476)
N (0.7524, 0.7524, 0.7524)